Diffraction record for Sr7H12Br2. The powder diffraction line list is simulated, not measured: it uses a PBE-relaxed structure and Cu Kα X-rays.

Structural model:
abc: 10.078 10.078 4.022
angles: 90.00 90.00 120.00
Positions (direct):
Sr (0.000, 0.000, 0.000)
Sr (0.109, 0.718, 0.500)
Sr (0.282, 0.392, 0.500)
Sr (0.408, 0.099, 0.000)
Sr (0.608, 0.891, 0.500)
Sr (0.691, 0.592, 0.000)
Sr (0.901, 0.309, 0.000)
H (0.050, 0.440, 0.500)
H (0.121, 0.275, 0.000)
H (0.154, 0.879, 0.000)
H (0.213, 0.108, 0.500)
H (0.390, 0.950, 0.500)
H (0.423, 0.361, 0.000)
H (0.560, 0.610, 0.500)
H (0.639, 0.062, 0.000)
H (0.725, 0.846, 0.000)
H (0.892, 0.105, 0.500)
H (0.895, 0.787, 0.500)
H (0.938, 0.577, 0.000)
Br (0.333, 0.667, 0.000)
Br (0.667, 0.333, 0.500)

Top 10 peaks for 5° ≤ 2θ ≤ 70°, sorted by position:
(2 1 0), 3.299 Å, 2θ = 27.03°, I = 1000
(1 1 1), 3.144 Å, 2θ = 28.39°, I = 788
(2 0 1), 2.958 Å, 2θ = 30.22°, I = 992
(3 0 0), 2.909 Å, 2θ = 30.73°, I = 399
(1 2 1), 2.551 Å, 2θ = 35.18°, I = 610
(0 0 2), 2.011 Å, 2θ = 45.08°, I = 211
(1 4 0), 1.905 Å, 2θ = 47.75°, I = 343
(3 2 1), 1.793 Å, 2θ = 50.94°, I = 496
(2 1 2), 1.717 Å, 2θ = 53.35°, I = 302
(1 4 2), 1.383 Å, 2θ = 67.76°, I = 238